Cs3Ce3HgS8: computed X-ray powder pattern (Cu Kα, 1.54184 Å), based on a structure optimized by DFT (PBE).
Kinematic intensities with the Lorentz-polarization factor, no thermal factor.

Largest 8 diffraction maxima, by intensity, 10° ≤ 2θ ≤ 80°:
(2 2 -2), 2θ = 28.53°, rel. 100.0
(2 2 0), 2θ = 25.16°, rel. 52.1
(0 0 2), 2θ = 22.05°, rel. 49.0
(4 0 0), 2θ = 29.35°, rel. 42.3
(2 2 2), 2θ = 38.23°, rel. 36.1
(0 0 1), 2θ = 10.97°, rel. 34.6
(6 2 -2), 2θ = 44.36°, rel. 28.8
(4 0 2), 2θ = 45.11°, rel. 26.1

Atomic structure:
Cell: 13.880 8.704 9.198 Å, 90.00 118.72 90.00°
Space group C2/m (No. 12)
Asymmetric unit:
1 Cs 0.000 0.000 0.000
2 Cs 0.250 0.250 0.000
3 Ce 0.000 0.500 0.500
4 Ce 0.250 0.250 0.500
5 Hg 0.000 0.000 0.500
6 S 0.032 0.285 0.307
7 S 0.202 0.000 0.664
8 S 0.229 0.500 0.682